# 1
SrNbNO: simulated XRD peak list (Cu Kα), based on the GGA-PBE geometry in OQMD.
Peak positions follow from Bragg's law for the DFT cell and can differ from measured ones.

```
data_SrNbNO
_cell_length_a 5.7059
_cell_length_b 4.0356
_cell_length_c 5.6162
_cell_angle_alpha 90.00
_cell_angle_beta 90.00
_cell_angle_gamma 90.00
_space_group_name_H-M_alt 'P 1'
_space_group_IT_number 1
_space_group_name_Hall 'P 1'
loop_
_atom_site_label
_atom_site_fract_x
_atom_site_fract_y
_atom_site_fract_z
_atom_site_occupancy
Sr1 0.2500 0.0000 0.2335 1
Sr2 0.7500 0.0000 0.7665 1
Nb1 0.2500 0.5000 0.7549 1
Nb2 0.7500 0.5000 0.2451 1
N1 0.0000 0.5000 0.0000 1
N2 0.5000 0.5000 0.0000 1
O1 0.2500 0.0000 0.6935 1
O2 0.7500 0.0000 0.3065 1
```

Main lines, by angle (15 to 90 degrees two-theta):
31.4°, rel. 32; 31.5°, rel. 100; 31.9°, rel. 28; 45.3°, rel. 27; 55.9°, rel. 32; 56.5°, rel. 19


# 2
Sc2Ir2O5: simulated XRD peak list (Cu Kα), based on the GGA-PBE geometry in OQMD.
Peak positions follow from Bragg's law for the DFT cell and can differ from measured ones.

```
data_Sc2Ir2O5
_cell_length_a 3.5150
_cell_length_b 3.5150
_cell_length_c 8.6115
_cell_angle_alpha 90.00
_cell_angle_beta 90.00
_cell_angle_gamma 90.00
_space_group_name_H-M_alt 'P 1'
_space_group_IT_number 1
_space_group_name_Hall 'P 1'
loop_
_atom_site_label
_atom_site_fract_x
_atom_site_fract_y
_atom_site_fract_z
_atom_site_occupancy
Sc1 0.0000 0.0000 0.2333 1
Sc2 0.0000 0.0000 0.7667 1
Ir1 0.5000 0.5000 0.0000 1
Ir2 0.5000 0.5000 0.5000 1
O1 0.0000 0.0000 0.0000 1
O2 0.0000 0.5000 0.3620 1
O3 0.0000 0.5000 0.6380 1
O4 0.5000 0.0000 0.3620 1
O5 0.5000 0.0000 0.6380 1
```

Main lines, by angle (15 to 90 degrees two-theta):
20.6°, rel. 34; 25.3°, rel. 34; 32.9°, rel. 100; 36.1°, rel. 34; 42.0°, rel. 37; 56.6°, rel. 39


# 3
Cu17As: simulated XRD peak list (Cu Kα), based on the GGA-PBE geometry in OQMD.
Peak positions follow from Bragg's law for the DFT cell and can differ from measured ones.

```
data_Cu17As
_cell_length_a 4.3923
_cell_length_b 5.0825
_cell_length_c 30.9266
_cell_angle_alpha 90.00
_cell_angle_beta 90.17
_cell_angle_gamma 90.00
_space_group_name_H-M_alt 'P 1'
_space_group_IT_number 1
_space_group_name_Hall 'P 1'
loop_
_atom_site_label
_atom_site_fract_x
_atom_site_fract_y
_atom_site_fract_z
_atom_site_occupancy
Cu1 0.0000 0.0000 0.0000 1
Cu2 0.0003 0.0024 0.2034 1
Cu3 0.0003 0.4976 0.2034 1
Cu4 0.0000 0.5000 0.0000 1
Cu5 0.9997 0.5024 0.7966 1
Cu6 0.9997 0.9976 0.7966 1
Cu7 0.1633 0.2500 0.8641 1
Cu8 0.1662 0.2500 0.0678 1
Cu9 0.1666 0.7500 0.2716 1
Cu10 0.1675 0.7500 0.0673 1
Cu11 0.1686 0.7500 0.8646 1
Cu12 0.3324 0.0016 0.9324 1
Cu13 0.3324 0.4984 0.9324 1
Cu14 0.3343 0.0012 0.7287 1
Cu15 0.3343 0.4988 0.7287 1
Cu16 0.3338 0.5007 0.1351 1
Cu17 0.3338 0.9993 0.1351 1
Cu18 0.4943 0.2500 0.2027 1
Cu19 0.4980 0.2500 0.7973 1
Cu20 0.5000 0.2500 0.0006 1
Cu21 0.5000 0.7500 0.9994 1
Cu22 0.5020 0.7500 0.2027 1
Cu23 0.5057 0.7500 0.7973 1
Cu24 0.6662 0.0007 0.8649 1
Cu25 0.6662 0.4993 0.8649 1
Cu26 0.6657 0.5012 0.2713 1
Cu27 0.6657 0.9988 0.2713 1
Cu28 0.6676 0.5016 0.0676 1
Cu29 0.6676 0.9984 0.0676 1
Cu30 0.8314 0.2500 0.1354 1
Cu31 0.8325 0.2500 0.9327 1
Cu32 0.8334 0.2500 0.7284 1
Cu33 0.8338 0.7500 0.9322 1
Cu34 0.8367 0.7500 0.1359 1
As1 0.1664 0.2500 0.2802 1
As2 0.8336 0.7500 0.7198 1
```

Main lines, by angle (15 to 90 degrees two-theta):
40.9°, rel. 21; 42.8°, rel. 37; 43.7°, rel. 100; 43.9°, rel. 29; 49.1°, rel. 21; 50.9°, rel. 39


# 4
Li2Mg3GaPd2: simulated XRD peak list (Cu Kα), based on the GGA-PBE geometry in OQMD.
Peak positions follow from Bragg's law for the DFT cell and can differ from measured ones.

```
data_Li2Mg3GaPd2
_cell_length_a 4.4942
_cell_length_b 4.4942
_cell_length_c 6.3639
_cell_angle_alpha 90.00
_cell_angle_beta 90.00
_cell_angle_gamma 90.00
_space_group_name_H-M_alt 'P 1'
_space_group_IT_number 1
_space_group_name_Hall 'P 1'
loop_
_atom_site_label
_atom_site_fract_x
_atom_site_fract_y
_atom_site_fract_z
_atom_site_occupancy
Li1 0.0000 0.5000 0.2356 1
Li2 0.5000 0.0000 0.7644 1
Mg1 0.0000 0.0000 0.0000 1
Mg2 0.0000 0.0000 0.5000 1
Mg3 0.5000 0.5000 0.5000 1
Ga1 0.5000 0.5000 0.0000 1
Pd1 0.0000 0.5000 0.7614 1
Pd2 0.5000 0.0000 0.2386 1
```

Main lines, by angle (15 to 90 degrees two-theta):
24.2°, rel. 81; 40.1°, rel. 100; 47.4°, rel. 38; 58.0°, rel. 16; 63.8°, rel. 15; 72.9°, rel. 32


# 5
Hf2ZrNi4Bi2Sb2: simulated XRD peak list (Cu Kα), based on the GGA-PBE geometry in OQMD.
Peak positions follow from Bragg's law for the DFT cell and can differ from measured ones.

```
data_Hf2ZrNi4Bi2Sb2
_cell_length_a 7.4328
_cell_length_b 7.4328
_cell_length_c 7.4328
_cell_angle_alpha 130.89
_cell_angle_beta 130.89
_cell_angle_gamma 71.99
_space_group_name_H-M_alt 'P 1'
_space_group_IT_number 1
_space_group_name_Hall 'P 1'
loop_
_atom_site_label
_atom_site_fract_x
_atom_site_fract_y
_atom_site_fract_z
_atom_site_occupancy
Hf1 0.2500 0.7500 0.5000 1
Hf2 0.7500 0.2500 0.5000 1
Zr1 0.0000 0.0000 0.0000 1
Ni1 0.1116 0.1116 0.4753 1
Ni2 0.3637 0.8884 0.0000 1
Ni3 0.6363 0.6363 0.5247 1
Ni4 0.8884 0.3637 0.0000 1
Bi1 0.2690 0.2690 0.0000 1
Bi2 0.7310 0.7310 0.0000 1
Sb1 0.0000 0.5000 0.5000 1
Sb2 0.5000 0.0000 0.5000 1
```

Main lines, by angle (15 to 90 degrees two-theta):
25.2°, rel. 24; 28.9°, rel. 56; 29.7°, rel. 23; 41.3°, rel. 56; 41.9°, rel. 100; 75.8°, rel. 34


# 6
Sm2OF2: simulated XRD peak list (Cu Kα), based on the GGA-PBE geometry in OQMD.
Peak positions follow from Bragg's law for the DFT cell and can differ from measured ones.

```
data_Sm2OF2
_cell_length_a 7.8955
_cell_length_b 7.8955
_cell_length_c 5.5452
_cell_angle_alpha 90.00
_cell_angle_beta 90.00
_cell_angle_gamma 90.00
_space_group_name_H-M_alt 'P 1'
_space_group_IT_number 1
_space_group_name_Hall 'P 1'
loop_
_atom_site_label
_atom_site_fract_x
_atom_site_fract_y
_atom_site_fract_z
_atom_site_occupancy
Sm1 0.0156 0.2500 0.0018 1
Sm2 0.2500 0.0156 0.5018 1
Sm3 0.2500 0.4844 0.5018 1
Sm4 0.4844 0.2500 0.0018 1
Sm5 0.5156 0.7500 0.9982 1
Sm6 0.7500 0.5156 0.4982 1
Sm7 0.7500 0.9844 0.4982 1
Sm8 0.9844 0.7500 0.9982 1
O1 0.2500 0.2500 0.2514 1
O2 0.2500 0.2500 0.7514 1
O3 0.7500 0.7500 0.2486 1
O4 0.7500 0.7500 0.7486 1
F1 0.0012 0.5012 0.2500 1
F2 0.0012 0.9988 0.2500 1
F3 0.4988 0.5012 0.2500 1
F4 0.4988 0.9988 0.2500 1
F5 0.5012 0.0012 0.7500 1
F6 0.5012 0.4988 0.7500 1
F7 0.9988 0.0012 0.7500 1
F8 0.9988 0.4988 0.7500 1
```

Main lines, by angle (15 to 90 degrees two-theta):
27.7°, rel. 100; 32.1°, rel. 22; 46.0°, rel. 17; 46.1°, rel. 34; 54.5°, rel. 28; 54.8°, rel. 15


# 7
KLaZnS3: simulated XRD peak list (Cu Kα), based on the GGA-PBE geometry in OQMD.
Peak positions follow from Bragg's law for the DFT cell and can differ from measured ones.

```
data_KLaZnS3
_cell_length_a 8.2656
_cell_length_b 4.1474
_cell_length_c 10.1782
_cell_angle_alpha 90.00
_cell_angle_beta 104.75
_cell_angle_gamma 90.00
_space_group_name_H-M_alt 'P 1'
_space_group_IT_number 1
_space_group_name_Hall 'P 1'
loop_
_atom_site_label
_atom_site_fract_x
_atom_site_fract_y
_atom_site_fract_z
_atom_site_occupancy
K1 0.2436 0.2500 0.2152 1
K2 0.7564 0.7500 0.7848 1
La1 0.1960 0.7500 0.6353 1
La2 0.8040 0.2500 0.3647 1
Zn1 0.4259 0.2500 0.8953 1
Zn2 0.5741 0.7500 0.1047 1
S1 0.0392 0.7500 0.3524 1
S2 0.2974 0.7500 0.9497 1
S3 0.4438 0.2500 0.6733 1
S4 0.5562 0.7500 0.3267 1
S5 0.7026 0.2500 0.0503 1
S6 0.9608 0.2500 0.6476 1
```

Main lines, by angle (15 to 90 degrees two-theta):
26.8°, rel. 59; 30.7°, rel. 100; 31.1°, rel. 39; 34.4°, rel. 56; 43.6°, rel. 35; 43.8°, rel. 43


# 8
PrDyPI2: simulated XRD peak list (Cu Kα), based on the GGA-PBE geometry in OQMD.
Peak positions follow from Bragg's law for the DFT cell and can differ from measured ones.

```
data_PrDyPI2
_cell_length_a 4.1816
_cell_length_b 4.1816
_cell_length_c 11.0504
_cell_angle_alpha 90.00
_cell_angle_beta 90.00
_cell_angle_gamma 120.00
_space_group_name_H-M_alt 'P 1'
_space_group_IT_number 1
_space_group_name_Hall 'P 1'
loop_
_atom_site_label
_atom_site_fract_x
_atom_site_fract_y
_atom_site_fract_z
_atom_site_occupancy
Pr1 0.0000 0.0000 0.0000 1
Dy1 0.6667 0.3333 0.7217 1
P1 0.3333 0.6667 0.8512 1
I1 0.0000 0.0000 0.5386 1
I2 0.6667 0.3333 0.1957 1
```

Main lines, by angle (15 to 90 degrees two-theta):
24.6°, rel. 23; 29.5°, rel. 100; 41.1°, rel. 26; 43.3°, rel. 28; 53.2°, rel. 19; 70.9°, rel. 16